Calculated PXRD pattern of Tb3PmHg5 for Cu Kα, from a crystal structure in Alexandria, relaxed with GGA-PBE.
Neutral-atom scattering factors, no anomalous dispersion.

Structure:
```
data_Tb3PmHg5
_symmetry_space_group_name_H-M 'P 63/m c m'
_symmetry_Int_Tables_number 193
_symmetry_space_group_name_Hall '-P 6c 2'
_cell_length_a 9.1866
_cell_length_b 9.1866
_cell_length_c 6.5206
_cell_angle_alpha 90.00
_cell_angle_beta 90.00
_cell_angle_gamma 120.00
loop_
_atom_site_label
_atom_site_type_symbol
_atom_site_fract_x
_atom_site_fract_y
_atom_site_fract_z
Tb1 Tb 0.0000 0.3697 0.2500
Pm1 Pm 0.0000 0.0000 0.0000
Hg1 Hg 0.0000 0.3023 0.7500
Hg2 Hg 0.3333 0.6667 0.0000
```

Largest 10 diffraction maxima, by intensity, 10° ≤ 2θ ≤ 90°:
| hkl | Position (°2θ) | I/Imax |
| --- | --- | --- |
| 3 0 0 | 33.76 | 100 |
| 3 3 0 | 60.43 | 21 |
| 2 2 2 | 48.48 | 16 |
| 3 0 4 | 67.44 | 14 |
| 2 1 1 | 32.80 | 10 |
| 5 2 2 | 81.04 | 5 |
| 3 3 4 | 87.38 | 5 |
| 0 0 4 | 56.45 | 5 |
| 4 2 1 | 63.50 | 4 |
| 3 1 1 | 43.29 | 4 |

Calculated PXRD pattern of Pm7ScSn5 for Cu Kα, from a crystal structure in Alexandria, relaxed with GGA-PBE.
Neutral-atom scattering factors, no anomalous dispersion.

Structure:
```
data_Pm7ScSn5
_symmetry_space_group_name_H-M 'I m m 2'
_symmetry_Int_Tables_number 44
_symmetry_space_group_name_Hall 'I 2 -2'
_cell_length_a 6.5195
_cell_length_b 10.9959
_cell_length_c 10.9119
_cell_angle_alpha 90.00
_cell_angle_beta 90.00
_cell_angle_gamma 90.00
loop_
_atom_site_label
_atom_site_type_symbol
_atom_site_fract_x
_atom_site_fract_y
_atom_site_fract_z
Pm1 Pm 0.0000 0.0000 0.0000
Pm2 Pm 0.0000 0.0000 0.3530
Pm3 Pm 0.0000 0.3234 0.5742
Pm4 Pm 0.0000 0.3370 0.0656
Pm5 Pm 0.0000 0.5000 0.3236
Sc1 Sc 0.0000 0.0000 0.6819
Sn1 Sn 0.0000 0.5000 0.8144
Sn2 Sn 0.2334 0.2338 0.8205
```

Largest 10 diffraction maxima, by intensity, 10° ≤ 2θ ≤ 90°:
| hkl | Position (°2θ) | I/Imax |
| --- | --- | --- |
| 1 3 2 | 32.50 | 100 |
| 2 2 2 | 36.01 | 87 |
| 2 0 2 | 31.95 | 59 |
| 0 4 2 | 36.61 | 54 |
| 0 0 4 | 32.83 | 44 |
| 1 3 0 | 27.93 | 29 |
| 2 2 6 | 60.70 | 26 |
| 2 6 0 | 57.71 | 23 |
| 2 6 4 | 68.01 | 21 |
| 2 0 0 | 27.36 | 20 |

Calculated PXRD pattern of NdEr3Th2 for Cu Kα, from a crystal structure in Alexandria, relaxed with GGA-PBE.
Neutral-atom scattering factors, no anomalous dispersion.

Structure:
```
data_NdEr3Th2
_symmetry_space_group_name_H-M 'P 1 21/m 1'
_symmetry_Int_Tables_number 11
_symmetry_space_group_name_Hall '-P 2yb'
_cell_length_a 8.7103
_cell_length_b 3.6168
_cell_length_c 12.2346
_cell_angle_alpha 90.00
_cell_angle_beta 90.31
_cell_angle_gamma 90.00
loop_
_atom_site_label
_atom_site_type_symbol
_atom_site_fract_x
_atom_site_fract_y
_atom_site_fract_z
Nd1 Nd 0.1813 0.2500 0.2569
Er1 Er 0.0963 0.2500 0.8928
Er2 Er 0.3570 0.7500 0.4555
Er3 Er 0.3975 0.7500 0.7482
Th1 Th 0.0975 0.2500 0.6022
Th2 Th 0.3598 0.7500 0.0539
```

Largest 10 diffraction maxima, by intensity, 10° ≤ 2θ ≤ 90°:
| hkl | Position (°2θ) | I/Imax |
| --- | --- | --- |
| 2 1 0 | 32.17 | 100 |
| 0 1 3 | 33.11 | 87 |
| 2 0 -3 | 29.94 | 49 |
| 2 0 3 | 30.10 | 47 |
| 2 2 -3 | 59.78 | 23 |
| 0 2 0 | 50.47 | 17 |
| 4 0 0 | 41.47 | 16 |
| 1 0 4 | 31.04 | 15 |
| 3 0 1 | 31.69 | 14 |
| 2 2 3 | 59.89 | 14 |